(1)
For Na2Ce2PaSe6, a crystal structure in Alexandria, relaxed with PBE gives the theoretical X-ray powder pattern in this record (CuKα).

Structure:
a = 7.364 Å, b = 7.364 Å, c = 7.408 Å
α = 99.61°, β = 99.61°, γ = 119.49°
Fractional coordinates of all 11 atoms:
Na1 0.169 0.831 0.000
Na2 0.831 0.169 0.000
Ce1 0.335 0.665 0.500
Ce2 0.665 0.335 0.500
Pa1 0.000 0.000 0.500
Se1 0.073 0.398 0.729
Se2 0.241 0.241 0.270
Se3 0.398 0.073 0.729
Se4 0.602 0.927 0.271
Se5 0.759 0.759 0.730
Se6 0.927 0.602 0.271

The 10 most intense peaks (10 to 90 degrees two-theta), low angle first:
2theta, d_spacing, I (rel.)
12.66, 6.990, 61
24.54, 3.627, 19
29.60, 3.018, 100
38.71, 2.326, 18
42.16, 2.144, 12
42.33, 2.135, 49
42.64, 2.120, 12
44.33, 2.043, 11
52.31, 1.749, 13
52.72, 1.736, 13

=====

(2)
For Na2CePb3, a crystal structure in Alexandria, relaxed with PBE gives the theoretical X-ray powder pattern in this record (CuKα).

Structure:
a = 8.718 Å, b = 8.718 Å, c = 7.724 Å
α = 90.00°, β = 90.00°, γ = 143.63°
Fractional coordinates of all 12 atoms:
Na1 0.000 0.000 0.000
Na2 0.000 0.000 0.500
Na3 0.332 0.668 0.000
Na4 0.668 0.332 0.000
Ce1 0.341 0.659 0.500
Ce2 0.659 0.341 0.500
Pb1 0.165 0.835 0.246
Pb2 0.165 0.835 0.754
Pb3 0.500 0.500 0.235
Pb4 0.500 0.500 0.765
Pb5 0.835 0.165 0.246
Pb6 0.835 0.165 0.754

The 10 most intense peaks (10 to 90 degrees two-theta), low angle first:
2theta, d_spacing, I (rel.)
22.97, 3.871, 50
32.43, 2.761, 26
32.74, 2.736, 100
32.92, 2.721, 25
46.89, 1.938, 19
47.06, 1.931, 9
58.04, 1.589, 19
58.32, 1.582, 9
58.66, 1.574, 29
68.61, 1.368, 12

=====

(3)
For NaCePm4Se8, a crystal structure in Alexandria, relaxed with PBE gives the theoretical X-ray powder pattern in this record (CuKα).

Structure:
a = 8.707 Å, b = 8.707 Å, c = 8.707 Å
α = 59.66°, β = 59.66°, γ = 59.66°
Fractional coordinates of all 14 atoms:
Na1 0.000 0.000 0.000
Ce1 0.371 0.371 0.371
Pm1 0.370 0.370 0.888
Pm2 0.370 0.888 0.370
Pm3 0.749 0.749 0.749
Pm4 0.888 0.370 0.370
Se1 0.134 0.134 0.134
Se2 0.134 0.134 0.595
Se3 0.134 0.595 0.134
Se4 0.148 0.618 0.618
Se5 0.595 0.134 0.134
Se6 0.616 0.616 0.616
Se7 0.618 0.148 0.618
Se8 0.618 0.618 0.148

The 10 most intense peaks (10 to 90 degrees two-theta), low angle first:
2theta, d_spacing, I (rel.)
12.48, 7.092, 49
24.01, 3.706, 72
24.09, 3.694, 25
29.08, 3.070, 100
38.05, 2.365, 42
41.49, 2.177, 65
41.71, 2.165, 65
51.65, 1.770, 18
60.29, 1.535, 20
75.99, 1.252, 20

=====

(4)
For Na2CePmSe4, a crystal structure in Alexandria, relaxed with PBE gives the theoretical X-ray powder pattern in this record (CuKα).

Structure:
a = 7.409 Å, b = 4.280 Å, c = 7.409 Å
α = 90.00°, β = 109.49°, γ = 90.00°
Fractional coordinates of all 8 atoms:
Na1 0.000 0.000 0.000
Na2 0.000 0.500 0.500
Ce1 0.500 0.000 0.500
Pm1 0.500 0.500 0.000
Se1 0.264 0.500 0.253
Se2 0.265 0.000 0.756
Se3 0.735 0.000 0.244
Se4 0.736 0.500 0.747

The 10 most intense peaks (10 to 90 degrees two-theta), low angle first:
2theta, d_spacing, I (rel.)
12.67, 6.984, 40
24.39, 3.649, 19
29.53, 3.025, 100
38.67, 2.329, 11
42.25, 2.139, 74
44.28, 2.046, 11
52.38, 1.747, 26
61.28, 1.513, 12
69.47, 1.353, 32
77.25, 1.235, 24

=====

(5)
For Na2CePrSe4, a crystal structure in Alexandria, relaxed with PBE gives the theoretical X-ray powder pattern in this record (CuKα).

Structure:
a = 7.433 Å, b = 4.313 Å, c = 7.470 Å
α = 90.00°, β = 109.63°, γ = 90.00°
Fractional coordinates of all 8 atoms:
Na1 0.000 0.000 0.000
Na2 0.000 0.500 0.500
Ce1 0.500 0.000 0.500
Pr1 0.500 0.500 0.000
Se1 0.263 0.000 0.752
Se2 0.264 0.500 0.256
Se3 0.736 0.500 0.744
Se4 0.737 0.000 0.248

The 10 most intense peaks (10 to 90 degrees two-theta), low angle first:
2theta, d_spacing, I (rel.)
12.64, 7.001, 38
24.20, 3.677, 19
29.35, 3.043, 100
41.90, 2.156, 38
42.07, 2.148, 36
43.94, 2.061, 11
51.97, 1.759, 20
60.88, 1.522, 12
68.88, 1.363, 17
69.12, 1.359, 16

=====

(6)
For NaCe2Pt9, a crystal structure in Alexandria, relaxed with PBE gives the theoretical X-ray powder pattern in this record (CuKα).

Structure:
a = 9.393 Å, b = 9.393 Å, c = 9.393 Å
α = 33.76°, β = 33.76°, γ = 33.76°
Fractional coordinates of all 12 atoms:
Na1 0.000 0.000 0.000
Ce1 0.137 0.137 0.137
Ce2 0.863 0.863 0.863
Pt1 0.080 0.587 0.587
Pt2 0.332 0.332 0.332
Pt3 0.413 0.413 0.920
Pt4 0.413 0.920 0.413
Pt5 0.500 0.500 0.500
Pt6 0.587 0.080 0.587
Pt7 0.587 0.587 0.080
Pt8 0.668 0.668 0.668
Pt9 0.920 0.413 0.413

The 10 most intense peaks (10 to 90 degrees two-theta), low angle first:
2theta, d_spacing, I (rel.)
19.08, 4.651, 52
38.25, 2.353, 25
38.78, 2.322, 100
40.54, 2.225, 23
40.79, 2.212, 26
41.86, 2.158, 68
42.04, 2.149, 30
45.23, 2.005, 28
62.61, 1.484, 28
68.84, 1.364, 28

=====

(7)
For Na3CePu3S8, a crystal structure in Alexandria, relaxed with PBE gives the theoretical X-ray powder pattern in this record (CuKα).

Structure:
a = 8.113 Å, b = 8.113 Å, c = 8.113 Å
α = 59.99°, β = 59.99°, γ = 59.99°
Fractional coordinates of all 15 atoms:
Na1 0.000 0.500 0.500
Na2 0.500 0.000 0.500
Na3 0.500 0.500 0.000
Ce1 0.500 0.500 0.500
Pu1 0.000 0.000 0.500
Pu2 0.000 0.500 0.000
Pu3 0.500 0.000 0.000
S1 0.240 0.740 0.740
S2 0.241 0.241 0.241
S3 0.260 0.260 0.760
S4 0.260 0.760 0.260
S5 0.740 0.240 0.740
S6 0.740 0.740 0.240
S7 0.759 0.759 0.759
S8 0.760 0.260 0.260

The 10 most intense peaks (10 to 90 degrees two-theta), low angle first:
2theta, d_spacing, I (rel.)
13.37, 6.625, 100
25.76, 3.459, 56
26.92, 3.312, 49
31.18, 2.868, 84
34.06, 2.632, 24
40.87, 2.208, 27
44.68, 2.028, 61
46.85, 1.939, 27
52.94, 1.730, 27
73.89, 1.283, 26

=====

(8)
For RbNaCe2S4, a crystal structure in Alexandria, relaxed with PBE gives the theoretical X-ray powder pattern in this record (CuKα).

Structure:
a = 8.548 Å, b = 8.548 Å, c = 8.548 Å
α = 120.95°, β = 119.32°, γ = 89.77°
Fractional coordinates of all 16 atoms:
Rb1 0.500 0.000 0.000
Rb2 0.500 0.500 0.500
Na1 0.000 0.000 0.000
Na2 0.500 0.000 0.500
Ce1 0.000 0.000 0.500
Ce2 0.000 0.500 0.000
Ce3 0.000 0.500 0.500
Ce4 0.500 0.500 0.000
S1 0.206 0.738 0.468
S2 0.231 0.262 0.968
S3 0.235 0.254 0.519
S4 0.235 0.716 0.981
S5 0.765 0.284 0.019
S6 0.765 0.746 0.481
S7 0.769 0.738 0.032
S8 0.794 0.262 0.532

The 10 most intense peaks (10 to 90 degrees two-theta), low angle first:
2theta, d_spacing, I (rel.)
12.80, 6.917, 44
25.33, 3.516, 37
25.76, 3.458, 35
29.50, 3.028, 50
29.63, 3.015, 100
41.84, 2.159, 18
42.30, 2.137, 71
42.94, 2.106, 17
52.02, 1.758, 18
52.95, 1.729, 18